TbPm3Ag7: theoretical X-ray powder pattern (copper Kα), based on the GGA-PBE geometry in Alexandria.
Kinematic intensities with the Lorentz-polarization factor, no thermal factor.

Principal peaks in the range 10 to 90 degrees two-theta, by intensity:
- 2θ 34.3, 2.614 Å, intensity 100
- 2θ 30.8, 2.900 Å, intensity 79
- 2θ 35.4, 2.534 Å, intensity 41
- 2θ 29.7, 3.008 Å, intensity 38
- 2θ 33.9, 2.641 Å, intensity 36
- 2θ 41.6, 2.170 Å, intensity 33

Atomic structure:
abc: 10.733 10.733 13.781
angles: 90.00 90.00 159.61
Element x y z (fractional)
Tb1 0.006 0.994 0.750
Tb2 0.994 0.006 0.250
Pm1 0.128 0.872 0.037
Pm2 0.128 0.872 0.463
Pm3 0.219 0.781 0.750
Pm4 0.781 0.219 0.250
Pm5 0.872 0.128 0.537
Pm6 0.872 0.128 0.963
Ag1 0.272 0.728 0.067
Ag2 0.272 0.728 0.433
Ag3 0.384 0.616 0.750
Ag4 0.392 0.608 0.148
Ag5 0.392 0.608 0.352
Ag6 0.480 0.520 0.591
Ag7 0.480 0.520 0.909
Ag8 0.520 0.480 0.091
Ag9 0.520 0.480 0.409
Ag10 0.608 0.392 0.648
Ag11 0.608 0.392 0.852
Ag12 0.616 0.384 0.250
Ag13 0.728 0.272 0.567
Ag14 0.728 0.272 0.933